Starting from a cell relaxed with PBE, the powder X-ray diffraction pattern of Tl7Bi2Au was computed for Cu Kα (weighted mean of Kα1 and Kα2).

Most intense lines, 2θ from 10° to 90°, most intense first:
2theta, Rel. int.
30.21, 100
30.01, 65
28.97, 64
34.87, 61
36.01, 60
31.83, 56
29.67, 48
31.01, 39

Cell and atoms:
```
20
Lattice="8.1118 -4.5037 0.0000 8.1118 4.5037 0.0000 -5.8654 0.0000 8.5975" Properties=species:S:1:pos:R:3 pbc="T T T"
Tl 3.7127 3.7644 6.4481
Tl 4.7372 2.2826 1.5971
Tl 2.2868 1.1364 4.0910
Tl 1.4384 1.4683 7.7432
Tl 8.5537 2.2826 2.7016
Tl 5.9870 1.4683 5.1530
Tl -0.6459 -1.1364 8.3897
Tl 11.0041 1.1364 0.2078
Tl 4.3712 -1.4683 3.4445
Tl 1.8045 -2.2826 5.8959
Tl 8.9197 -1.4683 0.8542
Tl 8.0714 -1.1364 4.5065
Tl 5.6210 -2.2826 7.0003
Tl 6.6454 -3.7644 2.1494
Bi -0.7119 0.0037 5.3088
Bi 2.2208 -0.0037 1.0101
Bi 8.1373 0.0037 7.5874
Bi 11.0700 -0.0037 3.2887
Au 6.6454 0.0621 2.1494
Au 3.7127 -0.0621 6.4481
```